[1]
Starting from a DFT-relaxed cell (PBE, Alexandria), the PXRD pattern of Tb3Sm3Tm4 was computed for Cu Kα (λ = 1.5418 Å).
Peak positions follow from Bragg's law for the DFT cell and can differ from measured ones.

Peak list (6 most intense, 2θ from 10° to 80°, by angle)
two_theta	I (rel.)	h k l
30.0	627	0 4 2
31.0	313	1 2 2
32.5	1000	1 1 3
34.4	161	0 1 5
55.8	192	1 4 6
59.4	183	2 4 2

Cell lengths 3.649, 13.290, 13.314 Å; angles 90.00, 90.00, 90.00 degrees
Space group Amm2 (No. 38)
Asymmetric unit:
1 Tb 0.000 0.000 0.000 x2
2 Tb 0.500 0.248 0.075 x4
3 Sm 0.000 0.000 0.652 x2
4 Sm 0.000 0.174 0.326 x4
5 Tm 0.500 0.000 0.201 x2
6 Tm 0.500 0.000 0.450 x2
7 Tm 0.500 0.123 0.827 x4

=====

[2]
Starting from a DFT-relaxed cell (PBE, Alexandria), the PXRD pattern of Tb12SmTm5 was computed for Cu Kα (λ = 1.5418 Å).
Peak positions follow from Bragg's law for the DFT cell and can differ from measured ones.

Peak list (6 most intense, 2θ from 10° to 80°, by angle)
two_theta	I (rel.)	h k l
30.9	1000	3 3 1
35.8	506	6 0 0
51.6	360	6 6 0
61.4	285	3 9 1
61.4	142	9 3 1
64.4	123	6 6 2

Cell lengths 15.013, 15.044, 5.010 Å; angles 90.00, 90.00, 90.00 degrees
Space group Cmmm (No. 65)
Asymmetric unit:
1 Tb 0.165 0.000 0.000 x4
2 Tb 0.165 0.166 0.500 x8
3 Tb 0.167 0.333 0.000 x8
4 Tb 0.167 0.500 0.500 x4
5 Sm 0.000 0.500 0.000 x2
6 Tm 0.000 0.000 0.500 x2
7 Tm 0.000 0.167 0.000 x4
8 Tm 0.000 0.332 0.500 x4

=====

[3]
Starting from a DFT-relaxed cell (PBE, Alexandria), the PXRD pattern of Tb7Sm3Tm was computed for Cu Kα (λ = 1.5418 Å).
Peak positions follow from Bragg's law for the DFT cell and can differ from measured ones.

Peak list (6 most intense, 2θ from 10° to 80°, by angle)
two_theta	I (rel.)	h k l
31.3	229	1 1 2
31.7	1000	2 1 0
31.9	494	2 1 -2
32.3	695	0 2 0
32.8	543	0 1 3
52.6	163	4 0 -2

Cell lengths 6.962, 5.545, 9.967 Å; angles 90.00, 109.49, 90.00 degrees
Space group P2/m (No. 10)
Asymmetric unit:
1 Tb 0.000 0.000 0.000 x1
2 Tb 0.148 0.500 0.290 x2
3 Tb 0.322 0.500 0.637 x2
4 Tb 0.422 0.000 0.829 x2
5 Sm 0.000 0.000 0.500 x1
6 Sm 0.280 0.500 0.997 x2
7 Tm 0.500 0.000 0.500 x1

=====

[4]
Starting from a DFT-relaxed cell (PBE, Alexandria), the PXRD pattern of TbSm8Tm6 was computed for Cu Kα (λ = 1.5418 Å).
Peak positions follow from Bragg's law for the DFT cell and can differ from measured ones.

Peak list (6 most intense, 2θ from 10° to 80°, by angle)
two_theta	I (rel.)	h k l
25.9	232	2 0 1
29.1	326	2 1 0
29.8	222	1 0 2
32.3	1000	3 -2 1
33.1	180	3 0 0
33.7	491	1 1 2

Cell lengths 9.3695, 9.3695, 6.4539 Å; angles 90.00, 90.00, 120.00 degrees
Space group P-3 (No. 147)
Asymmetric unit:
1 Tb 0.0000 0.0000 0.0000 x1
2 Sm 0.0380 0.2853 0.3301 x6
3 Sm 0.3333 0.6667 0.3734 x2
4 Tm 0.0955 0.4418 0.8372 x6

=====

[5]
Starting from a DFT-relaxed cell (PBE, Alexandria), the PXRD pattern of TbSm4Tm8 was computed for Cu Kα (λ = 1.5418 Å).
Peak positions follow from Bragg's law for the DFT cell and can differ from measured ones.

Peak list (6 most intense, 2θ from 10° to 80°, by angle)
two_theta	I (rel.)	h k l
19.9	105	1 1 1
32.8	1000	2 2 0
47.1	180	4 0 0
58.6	370	4 2 2
68.8	112	4 4 0
78.3	154	6 2 0

Cell lengths 7.723, 7.723, 7.723 Å; angles 90.00, 90.00, 90.00 degrees
Space group Pm-3m (No. 221)
Asymmetric unit:
1 Tb 0.000 0.000 0.000 x1
2 Sm 0.000 0.000 0.500 x3
3 Sm 0.500 0.500 0.500 x1
4 Tm 0.260 0.260 0.260 x8

=====

[6]
Starting from a DFT-relaxed cell (PBE, Alexandria), the PXRD pattern of Tb7Sm12Tm was computed for Cu Kα (λ = 1.5418 Å).
Peak positions follow from Bragg's law for the DFT cell and can differ from measured ones.

Peak list (6 most intense, 2θ from 10° to 80°, by angle)
two_theta	I (rel.)	h k l
27.3	437	3 3 0
30.1	1000	0 5 1
30.8	437	2 0 2
32.8	479	6 -1 1
33.0	466	5 2 0
39.4	404	5 0 2

Cell lengths 19.5727, 19.5727, 6.1852 Å; angles 90.00, 90.00, 120.00 degrees
Space group R-3 (No. 148, hexagonal axes)
Asymmetric unit:
1 Tb 0.0000 0.0000 0.0000 x3
2 Tb 0.0813 0.9179 0.2929 x18
3 Sm 0.0003 0.4132 0.0001 x18
4 Sm 0.0973 0.5489 0.4614 x18
5 Tm 0.0000 0.0000 0.5000 x3